Structure and computed X-ray powder pattern of Cs2Mo2O11 (a DFT-relaxed cell (PBE+U, Alexandria); a wavelength of 1.5418 Å).

Atomic structure:
```
30
Lattice="8.051 0.000 0.000 1.298 8.906 0.000 3.575 3.377 7.856" Properties=species:S:1:pos:R:3 pbc="T T T"
Cs 2.960 4.247 2.150
Cs 6.077 11.054 6.692
Cs 6.847 1.229 1.164
Cs 9.964 8.036 5.706
Mo 4.652 8.851 2.563
Mo 5.856 6.191 5.731
Mo 7.068 6.092 2.125
Mo 8.271 3.432 5.293
O 2.728 8.380 2.537
O 4.530 5.891 6.804
O 4.300 9.937 4.181
O 3.532 7.413 1.760
O 4.757 7.095 4.288
O 3.442 1.154 1.330
O 5.748 9.708 3.990
O 5.174 5.749 3.847
O 6.535 7.968 6.269
O 7.276 6.868 6.922
O 6.653 4.452 5.792
O 6.270 7.831 2.064
O 5.648 5.415 0.934
O 6.389 4.315 1.587
O 7.750 6.534 4.009
O 7.176 2.575 3.866
O 9.481 11.129 6.526
O 8.166 5.188 3.568
O 9.392 4.870 6.096
O 8.624 2.346 3.675
O 8.394 6.392 1.052
O 10.196 3.903 5.319
```

Largest 10 diffraction maxima, sorted by position, 10° ≤ 2θ ≤ 80°:
2θ 19.68, I 42
2θ 21.44, I 50
2θ 22.64, I 58
2θ 23.17, I 25
2θ 23.54, I 23
2θ 23.97, I 68
2θ 24.44, I 29
2θ 24.64, I 100
2θ 25.06, I 59
2θ 33.79, I 26